MgSbH: simulated powder X-ray diffraction pattern (Cu Kα X-rays), based on a structure optimized by DFT (GGA-PBE).
Neutral-atom scattering factors, no anomalous dispersion.

Unit cell a=5.641 b=4.128 c=4.639 alpha=90.00 beta=90.00 gamma=90.00
Space group Amm2 (No. 38)
Unique sites:
Mg1 0.000 0.000 0.000 x2
Sb1 0.500 0.000 0.166 x2
H1 0.000 0.000 0.585 x2

Main lines, most intense first (2θ = 10–80°):
h k l	2θ/deg	intensity
1 0 0	15.71	100
0 1 1	28.95	98
1 1 1	33.11	94
2 1 1	43.48	64
2 0 0	31.72	47
1 0 2	42.12	35
1 2 2	62.44	22
1 1 3	66.68	21